Starting from a PBE-relaxed structure, the PXRD pattern of TmHg3Cl9 was calculated for a wavelength of 1.5418 Å.
Kinematic intensities with the Lorentz-polarization factor, no thermal factor.

Structure:
```
data_TmHg3Cl9
_chemical_formula_sum 'Tm4 Hg12 Cl36'
_space_group_name_H-M_alt 'C 1 c 1'
_space_group_IT_number 9
_space_group_name_Hall 'C -2yc'
_cell_length_a 18.3081
_cell_length_b 9.3782
_cell_length_c 12.9259
_cell_angle_alpha 90.00
_cell_angle_beta 129.14
_cell_angle_gamma 90.00
loop_
_atom_site_label
_atom_site_fract_x
_atom_site_fract_y
_atom_site_fract_z
_atom_site_occupancy
Tm1 0.0000 0.2209 0.0000 1
Hg1 0.1262 0.4375 0.8299 1
Hg2 0.2650 0.0717 0.7870 1
Hg3 0.3738 0.3685 0.6701 1
Cl1 0.0171 0.0811 0.1928 1
Cl2 0.1112 0.4361 0.1416 1
Cl3 0.1412 0.0492 0.0704 1
Cl4 0.1982 0.3519 0.4934 1
Cl5 0.2530 0.2388 0.9271 1
Cl6 0.3650 0.1397 0.4694 1
Cl7 0.3689 0.4492 0.3232 1
Cl8 0.4108 0.1489 0.8169 1
Cl9 0.4948 0.1962 0.2993 1
```

Principal peaks in the range 2θ = 5–70°, sorted by position:
- (1 1 1), 16.6 deg, I = 100.0
- (3 1 -2), 18.3 deg, I = 76.7
- (3 1 0), 21.0 deg, I = 35.7
- (2 2 -1), 21.3 deg, I = 21.6
- (2 2 0), 22.8 deg, I = 34.2
- (0 2 2), 26.0 deg, I = 19.3
- (2 2 -3), 28.5 deg, I = 47.1
- (6 2 -4), 37.1 deg, I = 25.0
- (1 3 3), 42.8 deg, I = 19.8
- (5 3 -5), 45.7 deg, I = 20.3